Starting from the GGA-PBE geometry in the Materials Project, the XRD peak list of SrNdEuNbO6 was calculated for Cu Ka.
Intensities are scaled so that the largest is 100.

Most intense lines, 2θ from 10° to 80°, by angle:
2theta, d [Å], I (rel.)
29.73, 3.005, 100
42.44, 2.130, 9
42.59, 2.123, 18
52.73, 1.736, 30
52.80, 1.734, 15
61.69, 1.504, 10
61.80, 1.501, 5
69.85, 1.347, 6
70.07, 1.343, 12
77.85, 1.227, 5

Crystal structure
Cell: 8.488 8.495 8.519 Å, 90.00 90.00 90.00°
Space group Pnnn (No. 48, origin choice 2)
Symmetry-distinct sites (fractional):
Sr  0.250  0.250  0.250 x2
Sr  0.250  0.750  0.250 x2
Nd  0.000  0.000  0.000 x4
Eu  0.250  0.250  0.750 x2
Eu  0.250  0.750  0.750 x2
Nb  0.000  0.000  0.500 x4
O  0.040  0.230  0.451 x8
O  0.050  0.041  0.731 x8
O  0.230  0.549  0.039 x8

***

Starting from the GGA-PBE geometry in the Materials Project, the XRD peak list of Na5Cu3P4O16 was calculated for Cu Ka.
Intensities are scaled so that the largest is 100.

Most intense lines, 2θ from 10° to 80°, by angle:
2theta, d [Å], I (rel.)
12.05, 7.346, 100
24.50, 3.634, 18
26.07, 3.418, 46
29.54, 3.024, 28
31.25, 2.863, 19
32.18, 2.782, 20
33.05, 2.711, 20
34.16, 2.625, 26
34.30, 2.614, 27
34.85, 2.574, 75

Crystal structure
Cell: 5.153 8.502 9.193 Å, 63.87 89.51 73.86°
Space group P-1 (No. 2)
Symmetry-distinct sites (fractional):
Na  0.000  0.000  0.000 x1
Na  0.288  0.464  0.256 x2
Na  0.336  0.353  0.636 x2
Cu  0.152  0.750  0.793 x2
Cu  0.500  0.000  0.500 x1
P  0.071  0.817  0.431 x2
P  0.278  0.306  0.977 x2
O  0.028  0.695  0.004 x2
O  0.028  0.990  0.266 x2
O  0.202  0.201  0.497 x2
O  0.203  0.644  0.409 x2
O  0.261  0.500  0.825 x2
O  0.263  0.826  0.562 x2
O  0.413  0.174  0.907 x2
O  0.418  0.273  0.137 x2

***

Starting from the GGA-PBE geometry in the Materials Project, the XRD peak list of Sb6O13 was calculated for Cu Ka.
Intensities are scaled so that the largest is 100.

Most intense lines, 2θ from 10° to 80°, by angle:
2theta, d [Å], I (rel.)
11.96, 7.398, 20
14.67, 6.039, 26
14.84, 5.971, 41
29.43, 3.035, 49
29.59, 3.019, 100
29.93, 2.986, 48
34.20, 2.622, 40
49.16, 1.853, 30
49.80, 1.831, 30
58.23, 1.584, 27

Crystal structure
Cell: 7.399 7.432 10.357 Å, 90.00 90.98 90.00°
Space group P2_1/m (No. 11)
Symmetry-distinct sites (fractional):
Sb  0.000  0.000  0.000 x2
Sb  0.000  0.000  0.500 x2
Sb  0.229  0.250  0.271 x2
Sb  0.250  0.250  0.746 x2
Sb  0.258  0.750  0.252 x2
Sb  0.500  0.000  0.000 x2
O  0.005  0.750  0.166 x2
O  0.018  0.250  0.419 x2
O  0.042  0.250  0.130 x2
O  0.190  0.052  0.626 x4
O  0.190  0.545  0.366 x4
O  0.288  0.057  0.883 x4
O  0.296  0.551  0.123 x4
O  0.497  0.250  0.071 x2
O  0.497  0.250  0.682 x2

***

Starting from the GGA-PBE geometry in the Materials Project, the XRD peak list of FeCu4 was calculated for Cu Ka.
Intensities are scaled so that the largest is 100.

Most intense lines, 2θ from 10° to 80°, by angle:
2theta, d [Å], I (rel.)
43.12, 2.098, 34
43.42, 2.084, 100
50.48, 1.808, 62
73.96, 1.282, 18
74.39, 1.275, 18

Crystal structure
Cell: 2.5505 2.5505 31.4705 Å, 90.00 90.00 120.00°
Space group R-3m (No. 166, hexagonal axes)
Symmetry-distinct sites (fractional):
Fe  0.0000  0.0000  0.0000 x3
Cu  0.0000  0.0000  0.2000 x6
Cu  0.0000  0.0000  0.4002 x6